Theoretical powder X-ray diffraction pattern of NdSm7Ho3 for Cu Kα (λ = 1.5418 Å), from a structure optimized by DFT (PBE).
Intensities are scaled so that the largest is 1000.

Most intense lines, 2θ from 15° to 90°, sorted by position:
2θ (°)	I/Imax
31.2	260
31.3	590
31.7	1000
31.9	762
32.1	822
33.0	424

Cell and atoms:
```
data_NdSm7Ho3
_cell_length_a 6.552
_cell_length_b 6.738
_cell_length_c 8.720
_cell_angle_alpha 99.60
_cell_angle_beta 98.98
_cell_angle_gamma 95.69
_space_group_name_H-M_alt 'P -1'
_space_group_IT_number 2
_space_group_name_Hall '-P 1'
loop_
_atom_site_label
_atom_site_type_symbol
_atom_site_fract_x
_atom_site_fract_y
_atom_site_fract_z
Nd1 Nd 0.000 0.000 0.000
Sm1 Sm 0.000 0.500 0.000
Sm2 Sm 0.054 0.210 0.641
Sm3 Sm 0.222 0.722 0.711
Sm4 Sm 0.485 0.239 0.913
Ho1 Ho 0.310 0.434 0.338
Ho2 Ho 0.500 0.000 0.500
```

=====

Theoretical powder X-ray diffraction pattern of Nd2Ho5Er12 for Cu Kα (λ = 1.5418 Å), from a structure optimized by DFT (PBE).
Intensities are scaled so that the largest is 1000.

Most intense lines, 2θ from 15° to 90°, sorted by position:
2θ (°)	I/Imax
31.0	990
31.1	986
36.0	1000
51.8	475
51.9	236
61.7	562

Cell and atoms:
```
data_Nd2Ho5Er12
_cell_length_a 6.110
_cell_length_b 9.342
_cell_length_c 10.582
_cell_angle_alpha 101.01
_cell_angle_beta 95.57
_cell_angle_gamma 90.10
_space_group_name_H-M_alt 'P -1'
_space_group_IT_number 2
_space_group_name_Hall '-P 1'
loop_
_atom_site_label
_atom_site_type_symbol
_atom_site_fract_x
_atom_site_fract_y
_atom_site_fract_z
Nd1 Nd 0.079 0.315 0.473
Ho1 Ho 0.238 0.947 0.420
Ho2 Ho 0.342 0.368 0.052
Ho3 Ho 0.500 0.000 0.000
Er1 Er 0.026 0.105 0.156
Er2 Er 0.132 0.526 0.792
Er3 Er 0.184 0.737 0.104
Er4 Er 0.290 0.157 0.738
Er5 Er 0.396 0.580 0.367
Er6 Er 0.447 0.791 0.686
```

=====

Theoretical powder X-ray diffraction pattern of Na4PdO2 for Cu Kα (λ = 1.5418 Å), from a structure optimized by DFT (PBE).
Intensities are scaled so that the largest is 1000.

Most intense lines, 2θ from 15° to 90°, sorted by position:
2θ (°)	I/Imax
24.7	848
25.8	494
32.3	1000
42.0	228
42.9	867
49.5	514

Cell and atoms:
```
data_Na4PdO2
_cell_length_a 4.2197
_cell_length_b 4.2197
_cell_length_c 21.3240
_cell_angle_alpha 90.00
_cell_angle_beta 90.00
_cell_angle_gamma 120.00
_space_group_name_H-M_alt 'R -3 m'
_space_group_IT_number 166
_space_group_name_Hall '-R 3 2"'
loop_
_atom_site_label
_atom_site_type_symbol
_atom_site_fract_x
_atom_site_fract_y
_atom_site_fract_z
Na1 Na 0.0000 0.0000 0.1045
Na2 Na 0.0000 0.0000 0.2920
Pd1 Pd 0.0000 0.0000 0.5000
O1 O 0.0000 0.0000 0.4003
```

=====

Theoretical powder X-ray diffraction pattern of LiPmAlTc for Cu Kα (λ = 1.5418 Å), from a structure optimized by DFT (PBE).
Intensities are scaled so that the largest is 1000.

Most intense lines, 2θ from 15° to 90°, sorted by position:
2θ (°)	I/Imax
23.2	739
38.3	1000
45.3	375
55.3	171
60.8	155
69.3	344

Cell and atoms:
```
data_LiPmAlTc
_cell_length_a 6.643
_cell_length_b 6.643
_cell_length_c 6.643
_cell_angle_alpha 90.00
_cell_angle_beta 90.00
_cell_angle_gamma 90.00
_space_group_name_H-M_alt 'F -4 3 m'
_space_group_IT_number 216
_space_group_name_Hall 'F -4 2 3'
loop_
_atom_site_label
_atom_site_type_symbol
_atom_site_fract_x
_atom_site_fract_y
_atom_site_fract_z
Li1 Li 0.000 0.000 0.000
Pm1 Pm 0.250 0.250 0.750
Al1 Al 0.250 0.250 0.250
Tc1 Tc 0.000 0.000 0.500
```

=====

Theoretical powder X-ray diffraction pattern of In2PPb for Cu Kα (λ = 1.5418 Å), from a structure optimized by DFT (PBE).
Intensities are scaled so that the largest is 1000.

Most intense lines, 2θ from 15° to 90°, sorted by position:
2θ (°)	I/Imax
27.0	184
30.0	1000
32.1	285
40.0	320
45.8	349
58.1	191

Cell and atoms:
```
data_In2PPb
_cell_length_a 3.9659
_cell_length_b 3.9659
_cell_length_c 23.8618
_cell_angle_alpha 90.00
_cell_angle_beta 90.00
_cell_angle_gamma 120.00
_space_group_name_H-M_alt 'R 3 m'
_space_group_IT_number 160
_space_group_name_Hall 'R 3 -2"'
loop_
_atom_site_label
_atom_site_type_symbol
_atom_site_fract_x
_atom_site_fract_y
_atom_site_fract_z
In1 In 0.0000 0.0000 0.0000
In2 In 0.0000 0.0000 0.2392
P1 P 0.0000 0.0000 0.5120
Pb1 Pb 0.0000 0.0000 0.7707
```

=====

Theoretical powder X-ray diffraction pattern of HfCd2Au6 for Cu Kα (λ = 1.5418 Å), from a structure optimized by DFT (PBE).
Intensities are scaled so that the largest is 1000.

Most intense lines, 2θ from 15° to 90°, sorted by position:
2θ (°)	I/Imax
34.9	678
36.4	621
36.7	614
39.3	1000
44.4	352
44.6	354

Cell and atoms:
```
data_HfCd2Au6
_cell_length_a 13.516
_cell_length_b 10.282
_cell_length_c 5.049
_cell_angle_alpha 90.00
_cell_angle_beta 100.38
_cell_angle_gamma 90.00
_space_group_name_H-M_alt 'C 1 2/c 1'
_space_group_IT_number 15
_space_group_name_Hall '-C 2yc'
loop_
_atom_site_label
_atom_site_type_symbol
_atom_site_fract_x
_atom_site_fract_y
_atom_site_fract_z
Hf1 Hf 0.000 0.134 0.250
Cd1 Cd 0.168 0.374 0.080
Au1 Au 0.056 0.373 0.527
Au2 Au 0.107 0.113 0.803
Au3 Au 0.218 0.130 0.360
```

=====

Theoretical powder X-ray diffraction pattern of La8Y3Th for Cu Kα (λ = 1.5418 Å), from a structure optimized by DFT (PBE).
Intensities are scaled so that the largest is 1000.

Most intense lines, 2θ from 15° to 90°, sorted by position:
2θ (°)	I/Imax
29.7	1000
34.2	171
34.6	335
49.5	240
58.6	143
59.0	142

Cell and atoms:
```
data_La8Y3Th
_cell_length_a 3.671
_cell_length_b 10.475
_cell_length_c 10.981
_cell_angle_alpha 90.00
_cell_angle_beta 90.00
_cell_angle_gamma 90.00
_space_group_name_H-M_alt 'P m m m'
_space_group_IT_number 47
_space_group_name_Hall '-P 2 2'
loop_
_atom_site_label
_atom_site_type_symbol
_atom_site_fract_x
_atom_site_fract_y
_atom_site_fract_z
La1 La 0.000 0.000 0.167
La2 La 0.000 0.500 0.173
La3 La 0.500 0.257 0.333
Y1 Y 0.000 0.000 0.500
Y2 Y 0.500 0.249 0.000
Th1 Th 0.000 0.500 0.500
```

=====

Theoretical powder X-ray diffraction pattern of ZnAu2I5 for Cu Kα (λ = 1.5418 Å), from a structure optimized by DFT (PBE).
Intensities are scaled so that the largest is 1000.

Most intense lines, 2θ from 15° to 90°, sorted by position:
2θ (°)	I/Imax
20.7	1000
26.4	564
32.1	860
34.8	786
38.5	434
42.0	638

Cell and atoms:
```
data_ZnAu2I5
_cell_length_a 15.615
_cell_length_b 7.885
_cell_length_c 7.884
_cell_angle_alpha 90.00
_cell_angle_beta 120.21
_cell_angle_gamma 90.00
_space_group_name_H-M_alt 'C 1 m 1'
_space_group_IT_number 8
_space_group_name_Hall 'C -2y'
loop_
_atom_site_label
_atom_site_type_symbol
_atom_site_fract_x
_atom_site_fract_y
_atom_site_fract_z
Zn1 Zn 0.000 0.000 0.000
Au1 Au 0.410 0.000 0.908
Au2 Au 0.410 0.500 0.409
I1 I 0.186 0.000 0.192
I2 I 0.422 0.261 0.160
I3 I 0.427 0.260 0.686
```

=====

Theoretical powder X-ray diffraction pattern of Ac4Tm for Cu Kα (λ = 1.5418 Å), from a structure optimized by DFT (PBE).
Intensities are scaled so that the largest is 1000.

Most intense lines, 2θ from 15° to 90°, sorted by position:
2θ (°)	I/Imax
27.6	583
29.4	1000
39.5	199
50.0	400
53.1	199
61.0	114

Cell and atoms:
```
data_Ac4Tm
_cell_length_a 10.203
_cell_length_b 10.203
_cell_length_c 4.077
_cell_angle_alpha 90.00
_cell_angle_beta 90.00
_cell_angle_gamma 90.00
_space_group_name_H-M_alt 'I 4/m'
_space_group_IT_number 87
_space_group_name_Hall '-I 4'
loop_
_atom_site_label
_atom_site_type_symbol
_atom_site_fract_x
_atom_site_fract_y
_atom_site_fract_z
Ac1 Ac 0.086 0.720 0.000
Tm1 Tm 0.000 0.000 0.500
```

=====

Theoretical powder X-ray diffraction pattern of SmDy3Er8 for Cu Kα (λ = 1.5418 Å), from a structure optimized by DFT (PBE).
Intensities are scaled so that the largest is 1000.

Most intense lines, 2θ from 15° to 90°, sorted by position:
2θ (°)	I/Imax
28.6	239
32.0	238
32.9	1000
50.7	199
57.6	203
61.2	226

Cell and atoms:
```
data_SmDy3Er8
_cell_length_a 10.805
_cell_length_b 11.185
_cell_length_c 6.241
_cell_angle_alpha 90.00
_cell_angle_beta 90.00
_cell_angle_gamma 90.00
_space_group_name_H-M_alt 'I m m 2'
_space_group_IT_number 44
_space_group_name_Hall 'I 2 -2'
loop_
_atom_site_label
_atom_site_type_symbol
_atom_site_fract_x
_atom_site_fract_y
_atom_site_fract_z
Sm1 Sm 0.000 0.000 0.000
Dy1 Dy 0.000 0.251 0.666
Dy2 Dy 0.000 0.500 0.000
Er1 Er 0.166 0.500 0.499
Er2 Er 0.167 0.000 0.499
Er3 Er 0.167 0.251 0.168
```

=====

Theoretical powder X-ray diffraction pattern of CePm3Er6Tm2 for Cu Kα (λ = 1.5418 Å), from a structure optimized by DFT (PBE).
Intensities are scaled so that the largest is 1000.

Most intense lines, 2θ from 15° to 90°, sorted by position:
2θ (°)	I/Imax
30.9	1000
31.0	329
35.9	672
51.6	240
51.7	237
61.4	426

Cell and atoms:
```
data_CePm3Er6Tm2
_cell_length_a 6.140
_cell_length_b 10.630
_cell_length_c 11.707
_cell_angle_alpha 90.00
_cell_angle_beta 100.06
_cell_angle_gamma 90.00
_space_group_name_H-M_alt 'C 1 2/m 1'
_space_group_IT_number 12
_space_group_name_Hall '-C 2y'
loop_
_atom_site_label
_atom_site_type_symbol
_atom_site_fract_x
_atom_site_fract_y
_atom_site_fract_z
Ce1 Ce 0.000 0.000 0.000
Pm1 Pm 0.000 0.168 0.500
Pm2 Pm 0.000 0.500 0.500
Er1 Er 0.248 0.166 0.246
Er2 Er 0.249 0.000 0.753
Tm1 Tm 0.000 0.333 0.000
```

=====

Please write out number 1 again, unchanged.
Theoretical powder X-ray diffraction pattern of NdSm7Ho3 for Cu Kα (λ = 1.5418 Å), from a structure optimized by DFT (PBE).
Intensities are scaled so that the largest is 1000.

Most intense lines, 2θ from 15° to 90°, sorted by position:
2θ (°)	I/Imax
31.2	260
31.3	590
31.7	1000
31.9	762
32.1	822
33.0	424

Cell and atoms:
```
data_NdSm7Ho3
_cell_length_a 6.552
_cell_length_b 6.738
_cell_length_c 8.720
_cell_angle_alpha 99.60
_cell_angle_beta 98.98
_cell_angle_gamma 95.69
_space_group_name_H-M_alt 'P -1'
_space_group_IT_number 2
_space_group_name_Hall '-P 1'
loop_
_atom_site_label
_atom_site_type_symbol
_atom_site_fract_x
_atom_site_fract_y
_atom_site_fract_z
Nd1 Nd 0.000 0.000 0.000
Sm1 Sm 0.000 0.500 0.000
Sm2 Sm 0.054 0.210 0.641
Sm3 Sm 0.222 0.722 0.711
Sm4 Sm 0.485 0.239 0.913
Ho1 Ho 0.310 0.434 0.338
Ho2 Ho 0.500 0.000 0.500
```

=====

Copy entry 8 word for word.
Theoretical powder X-ray diffraction pattern of ZnAu2I5 for Cu Kα (λ = 1.5418 Å), from a structure optimized by DFT (PBE).
Intensities are scaled so that the largest is 1000.

Most intense lines, 2θ from 15° to 90°, sorted by position:
2θ (°)	I/Imax
20.7	1000
26.4	564
32.1	860
34.8	786
38.5	434
42.0	638

Cell and atoms:
```
data_ZnAu2I5
_cell_length_a 15.615
_cell_length_b 7.885
_cell_length_c 7.884
_cell_angle_alpha 90.00
_cell_angle_beta 120.21
_cell_angle_gamma 90.00
_space_group_name_H-M_alt 'C 1 m 1'
_space_group_IT_number 8
_space_group_name_Hall 'C -2y'
loop_
_atom_site_label
_atom_site_type_symbol
_atom_site_fract_x
_atom_site_fract_y
_atom_site_fract_z
Zn1 Zn 0.000 0.000 0.000
Au1 Au 0.410 0.000 0.908
Au2 Au 0.410 0.500 0.409
I1 I 0.186 0.000 0.192
I2 I 0.422 0.261 0.160
I3 I 0.427 0.260 0.686
```

=====

Which formula does entry 11 have? CePm3Er6Tm2